Structure and calculated powder diffraction line list of Dy10Si17 (a cell relaxed with PBE; Cu Kα (weighted mean of Kα1 and Kα2)).
Kinematic intensities with the Lorentz-polarization factor, no thermal factor.

Main lines, by intensity (15 to 90 degrees two-theta):
2theta	Rel. int.
34.55	100.0
26.73	54.0
34.43	51.2
21.49	28.8
26.59	27.1
52.01	26.6
47.03	25.1
59.80	19.0
66.19	18.0
43.78	16.7
52.25	13.7
47.29	12.2

a = 10.9871 Å, b = 10.9871 Å, c = 10.9871 Å
α = 135.78°, β = 57.97°, γ = 144.46°
Atoms (fractional coordinates):
Dy  0.0000  0.2446  0.2446
Dy  0.0000  0.7554  0.7554
Dy  0.1973  0.2494  0.4517
Dy  0.1973  0.7456  0.9478
Dy  0.3927  0.2408  0.6474
Dy  0.3927  0.7454  0.1519
Dy  0.5935  0.2408  0.8481
Dy  0.5935  0.7454  0.3526
Dy  0.7977  0.2494  0.0522
Dy  0.7977  0.7456  0.5483
Si  0.0474  0.1516  0.8958
Si  0.0598  0.6600  0.3998
Si  0.0914  0.8058  0.2856
Si  0.1826  0.3817  0.8009
Si  0.2559  0.1516  0.1042
Si  0.2601  0.6600  0.6002
Si  0.3300  0.3300  0.0000
Si  0.3712  0.8712  0.5000
Si  0.4652  0.1647  0.3005
Si  0.5201  0.8058  0.7144
Si  0.5808  0.3817  0.1991
Si  0.6761  0.7965  0.8796
Si  0.6800  0.6800  0.0000
Si  0.7229  0.3058  0.4171
Si  0.8642  0.1647  0.6995
Si  0.8886  0.3058  0.5829
Si  0.9168  0.7965  0.1204